This entry pairs a crystal structure of LiVTe2WO12 with its simulated powder XRD pattern. Radiation: Cu Kα (λ = 1.5418 Å). Structure: a structure optimized by DFT (PBE+U).

Structure:
```
data_LiVTe2WO12
_chemical_formula_sum 'Li1 V1 Te2 W1 O12'
_space_group_name_H-M_alt 'P 1'
_space_group_IT_number 1
_cell_length_a 5.1266
_cell_length_b 5.2949
_cell_length_c 7.3867
_cell_angle_alpha 93.03
_cell_angle_beta 90.10
_cell_angle_gamma 90.13
loop_
_space_group_symop_operation_xyz
'x,y,z'
loop_
_atom_site_label
_atom_site_type_symbol
_atom_site_fract_x
_atom_site_fract_y
_atom_site_fract_z
Li1 Li 0.0000 0.0000 0.0000
V1 V 0.0073 0.5829 0.2125
Te1 Te 0.5046 0.0880 0.1983
Te2 Te 0.9975 0.5937 0.7017
W1 W 0.4936 0.0965 0.6942
O1 O 0.1056 0.6065 0.9473
O2 O 0.1851 0.2846 0.6409
O3 O 0.1920 0.9000 0.2432
O4 O 0.2953 0.3987 0.2493
O5 O 0.3052 0.7883 0.6397
O6 O 0.3780 0.0988 0.9470
O7 O 0.6103 0.1008 0.4491
O8 O 0.6858 0.4042 0.7514
O9 O 0.7119 0.7987 0.1366
O10 O 0.8043 0.2937 0.1361
O11 O 0.8103 0.9110 0.7558
O12 O 0.8917 0.5996 0.4460
```

Top 8 peaks for 15° ≤ 2θ ≤ 90°, in order of rising 2θ:
(hkl)  2θ (°)  Rel. int.
1 1 0  24.2  100.0
1 1 -2  33.8  20.9
0 2 0  33.9  10.5
-1 1 2  35.0  14.9
2 0 -2  43.0  8.3
2 -2 0  49.4  11.1
1 1 -4  54.9  11.9
-1 1 4  56.6  11.0